Diffraction record for TlAsPd3. The X-ray powder pattern is theoretical, not measured: it uses a DFT-relaxed cell (PBE, Alexandria) and copper Kα.

Largest 10 diffraction maxima, in order of rising 2θ, 15 to 90 degrees two-theta:
| index | 2theta | I_rel |
| --- | --- | --- |
| 2 0 0 | 26.27 | 43 |
| 0 2 0 | 32.64 | 87 |
| 3 0 -2 | 34.17 | 80 |
| 2 0 -4 | 36.66 | 50 |
| 1 2 -2 | 37.57 | 43 |
| 3 1 -2 | 38.00 | 80 |
| 0 2 2 | 39.05 | 52 |
| 1 1 -4 | 40.83 | 100 |
| 2 0 2 | 41.63 | 80 |
| 2 2 0 | 42.39 | 79 |

Crystal structure
abc: 7.876 5.487 9.899
angles: 90.00 120.58 90.00
Fractional coordinates of all 20 atoms:
1 Tl 0.180 0.249 0.094
2 Tl 0.180 0.251 0.594
3 Tl 0.820 0.749 0.406
4 Tl 0.820 0.751 0.906
5 As 0.317 0.675 0.334
6 As 0.317 0.825 0.834
7 As 0.683 0.175 0.166
8 As 0.683 0.325 0.666
9 Pd 0.011 0.565 0.718
10 Pd 0.011 0.935 0.218
11 Pd 0.251 0.740 0.056
12 Pd 0.251 0.760 0.556
13 Pd 0.371 0.200 0.427
14 Pd 0.371 0.300 0.927
15 Pd 0.629 0.700 0.073
16 Pd 0.629 0.800 0.573
17 Pd 0.749 0.240 0.444
18 Pd 0.749 0.260 0.944
19 Pd 0.989 0.065 0.782
20 Pd 0.989 0.435 0.282